Structure and computed X-ray powder pattern of SmEr3Fe34 (the GGA-PBE geometry in the Materials Project; Cu Kα X-rays).
Neutral-atom scattering factors, no anomalous dispersion.

a = 8.4303 Å, b = 8.4303 Å, c = 8.2637 Å
α = 90.00°, β = 90.00°, γ = 120.00°
Space group P-6m2 (No. 187)
Symmetry-distinct sites (fractional):
Sm 0.0000 0.0000 0.0000
Er 0.3333 0.6667 0.0000
Er 0.3333 0.6667 0.5000
Er 0.6667 0.3333 0.5000
Fe 0.0000 0.0000 0.3586
Fe 0.0013 0.5006 0.2628
Fe 0.0036 0.3032 0.5000
Fe 0.1683 0.3365 0.2387
Fe 0.3346 0.1673 0.2509
Fe 0.3693 0.0311 0.0000
Fe 0.6667 0.3333 0.1424

Principal peaks in the range 5 to 70 degrees two-theta, low angle first:
hkl	2theta	Rel. int.
1 1 2	30.29	40
3 0 0	36.94	42
2 0 3	41.05	25
2 2 0	42.91	55
3 0 2	43.14	100
0 0 4	43.82	30